Mg3Rh2: calculated powder diffractogram (Cu Kα), based on a cell relaxed with GGA-PBE.

Structural model:
```
data_Mg3Rh2
_chemical_formula_sum 'Mg6 Rh4'
_space_group_name_H-M_alt 'C 1 2/m 1'
_space_group_IT_number 12
_space_group_name_Hall '-C 2y'
_cell_length_a 8.0350
_cell_length_b 4.3079
_cell_length_c 5.6714
_cell_angle_alpha 90.00
_cell_angle_beta 123.01
_cell_angle_gamma 90.00
loop_
_atom_site_label
_atom_site_type_symbol
_atom_site_fract_x
_atom_site_fract_y
_atom_site_fract_z
Mg1 Mg 0.0000 0.0000 0.0000
Mg2 Mg 0.2073 0.0000 0.6440
Rh1 Rh 0.0779 0.5000 0.7774
```

Principal peaks in the range 2θ from 15° to 90°, in order of rising 2θ:
2θ (°)	Rel. int.
22.55	38
24.53	93
37.83	23
38.70	100
39.73	93
40.37	40
41.94	42
53.62	19
53.78	19
59.62	25